The following is a computed powder diffractogram of CaFe6O4F8. It was derived from the GGA+U geometry in Alexandria, using λ = 1.5418 Å (Cu Kα).
Intensities are scaled so that the largest is 100.

Cell and atoms:
```
data_CaFe6O4F8
_chemical_formula_sum 'Ca1 Fe6 O4 F8'
_symmetry_space_group_name_H-M 'P 1'
_symmetry_Int_Tables_number 1
_symmetry_space_group_name_Hall 'P 1'
_cell_length_a 6.1393
_cell_length_b 6.3412
_cell_length_c 8.0043
_cell_angle_alpha 101.57
_cell_angle_beta 100.58
_cell_angle_gamma 115.66
loop_
_atom_site_label
_atom_site_type_symbol
_atom_site_fract_x
_atom_site_fract_y
_atom_site_fract_z
Ca1 Ca 0.0000 0.0000 0.0000
Fe1 Fe 0.0485 0.9355 0.4388
Fe2 Fe 0.0784 0.5747 0.0978
Fe3 Fe 0.4148 0.5580 0.5322
Fe4 Fe 0.4806 0.9523 0.8680
Fe5 Fe 0.5507 0.1986 0.2569
Fe6 Fe 0.9459 0.3735 0.7070
O1 O 0.1213 0.2863 0.5652
O2 O 0.1293 0.6902 0.8899
O3 O 0.2063 0.9224 0.2370
O4 O 0.8592 0.2485 0.8982
F1 F 0.2599 0.4438 0.2328
F2 F 0.2754 0.8238 0.5895
F3 F 0.3981 0.2049 0.9854
F4 F 0.6129 0.7093 0.8096
F5 F 0.6497 0.3454 0.5364
F6 F 0.7016 0.9934 0.1454
F7 F 0.7279 0.8201 0.5092
F8 F 0.8409 0.5156 0.2496
```

Peak list (12 most intense, 2θ = 10–90°, low angle first)
index, 2theta, d [Å], I (rel.)
1 -1 0, 16.8, 5.276, 34
1 -1 1, 20.6, 4.312, 100
1 1 -1, 26.9, 3.316, 95
1 -2 0, 28.8, 3.104, 26
1 -1 2, 29.3, 3.048, 52
0 1 2, 33.2, 2.700, 62
2 0 0, 34.0, 2.634, 25
1 0 -3, 34.8, 2.576, 39
-2 2 1, 36.1, 2.488, 41
1 0 3, 44.8, 2.022, 24
2 -2 3, 50.4, 1.810, 29
2 1 -4, 53.9, 1.700, 27

=====

The following is a computed powder diffractogram of CaFe6O4F8. It was derived from the GGA+U geometry in Alexandria, using λ = 1.5418 Å (Cu Kα).
Intensities are scaled so that the largest is 100.

Cell and atoms:
```
data_CaFe6O4F8
_chemical_formula_sum 'Ca1 Fe6 O4 F8'
_symmetry_space_group_name_H-M 'P 1'
_symmetry_Int_Tables_number 1
_symmetry_space_group_name_Hall 'P 1'
_cell_length_a 5.8235
_cell_length_b 5.9863
_cell_length_c 7.9988
_cell_angle_alpha 102.95
_cell_angle_beta 97.49
_cell_angle_gamma 111.83
loop_
_atom_site_label
_atom_site_type_symbol
_atom_site_fract_x
_atom_site_fract_y
_atom_site_fract_z
Ca1 Ca 0.0000 0.0000 0.0000
Fe1 Fe 0.0337 0.4771 0.8556
Fe2 Fe 0.0648 0.0786 0.4111
Fe3 Fe 0.4159 0.9813 0.7049
Fe4 Fe 0.4477 0.6512 0.2434
Fe5 Fe 0.5739 0.1063 0.0929
Fe6 Fe 0.7651 0.5656 0.5502
O1 O 0.0662 0.8836 0.5686
O2 O 0.2871 0.8412 0.8880
O3 O 0.7417 0.1765 0.8795
O4 O 0.7533 0.9346 0.2275
F1 F 0.1726 0.3384 0.2749
F2 F 0.2217 0.8869 0.2260
F3 F 0.3027 0.3737 0.9785
F4 F 0.4546 0.2404 0.5492
F5 F 0.5159 0.7666 0.5325
F6 F 0.6744 0.4368 0.2728
F7 F 0.7574 0.6285 0.8136
F8 F 0.9898 0.3408 0.5769
```

Peak list (12 most intense, 2θ = 10–90°, low angle first)
index, 2theta, d [Å], I (rel.)
-1 1 1, 22.2, 4.008, 100
1 1 -1, 27.1, 3.291, 95
-1 1 2, 30.6, 2.919, 29
1 -2 1, 30.8, 2.905, 22
2 -1 0, 31.1, 2.876, 22
1 0 2, 32.2, 2.777, 57
0 2 0, 33.8, 2.654, 19
0 1 -3, 34.5, 2.600, 55
1 -2 2, 35.1, 2.555, 18
2 -2 1, 38.1, 2.360, 41
2 -3 0, 48.7, 1.871, 20
2 2 -1, 55.9, 1.644, 18

=====

The following is a computed powder diffractogram of CaFe6O4F8. It was derived from the GGA+U geometry in Alexandria, using λ = 1.5418 Å (Cu Kα).
Intensities are scaled so that the largest is 100.

Cell and atoms:
```
data_CaFe6O4F8
_chemical_formula_sum 'Ca1 Fe6 O4 F8'
_symmetry_space_group_name_H-M 'P 1'
_symmetry_Int_Tables_number 1
_symmetry_space_group_name_Hall 'P 1'
_cell_length_a 5.8356
_cell_length_b 6.0518
_cell_length_c 8.2724
_cell_angle_alpha 98.87
_cell_angle_beta 101.84
_cell_angle_gamma 114.40
loop_
_atom_site_label
_atom_site_type_symbol
_atom_site_fract_x
_atom_site_fract_y
_atom_site_fract_z
Ca1 Ca 0.0000 0.0000 0.0000
Fe1 Fe 0.1836 0.7388 0.3345
Fe2 Fe 0.3829 0.7475 0.7207
Fe3 Fe 0.4895 0.4265 0.3902
Fe4 Fe 0.6298 0.1511 0.1586
Fe5 Fe 0.7863 0.3749 0.8283
Fe6 Fe 0.8908 0.0421 0.5291
O1 O 0.3304 0.0485 0.2410
O2 O 0.5424 0.7594 0.4988
O3 O 0.6208 0.0943 0.9283
O4 O 0.7748 0.4906 0.2799
F1 F 0.0331 0.1973 0.7929
F2 F 0.1182 0.7055 0.8788
F3 F 0.1477 0.8693 0.5745
F4 F 0.2030 0.4217 0.1872
F5 F 0.2037 0.3512 0.5230
F6 F 0.6230 0.6276 0.8566
F7 F 0.6885 0.3192 0.5662
F8 F 0.8161 0.9732 0.2407
```

Peak list (12 most intense, 2θ = 10–90°, low angle first)
index, 2theta, d [Å], I (rel.)
0 0 1, 11.3, 7.800, 42
1 -1 1, 21.5, 4.124, 47
0 1 -2, 24.4, 3.644, 54
1 1 -1, 27.8, 3.213, 100
1 1 0, 29.4, 3.036, 92
1 -1 2, 29.7, 3.012, 78
-1 2 1, 33.5, 2.676, 57
1 0 -3, 33.7, 2.658, 78
2 -1 1, 35.5, 2.528, 37
2 -2 0, 36.0, 2.494, 41
0 1 3, 42.6, 2.120, 39
2 -3 1, 47.9, 1.898, 45

=====

The following is a computed powder diffractogram of CaFe8O8F8. It was derived from the GGA+U geometry in Alexandria, using λ = 1.5418 Å (Cu Kα).
Intensities are scaled so that the largest is 100.

Cell and atoms:
```
data_CaFe8O8F8
_chemical_formula_sum 'Ca1 Fe8 O8 F8'
_symmetry_space_group_name_H-M 'P 1'
_symmetry_Int_Tables_number 1
_symmetry_space_group_name_Hall 'P 1'
_cell_length_a 5.1277
_cell_length_b 5.3755
_cell_length_c 11.8283
_cell_angle_alpha 88.25
_cell_angle_beta 87.62
_cell_angle_gamma 89.22
loop_
_atom_site_label
_atom_site_type_symbol
_atom_site_fract_x
_atom_site_fract_y
_atom_site_fract_z
Ca1 Ca 0.0000 0.0000 0.0000
Fe1 Fe 0.0089 0.5693 0.8409
Fe2 Fe 0.3849 0.0957 0.4935
Fe3 Fe 0.4977 0.3579 0.0022
Fe4 Fe 0.5010 0.9362 0.7376
Fe5 Fe 0.5358 0.9788 0.2446
Fe6 Fe 0.8692 0.4384 0.6149
Fe7 Fe 0.8785 0.4576 0.3689
Fe8 Fe 0.9440 0.5036 0.1288
O1 O 0.0889 0.3229 0.4949
O2 O 0.1287 0.3970 0.9804
O3 O 0.2270 0.8425 0.8461
O4 O 0.6096 0.1753 0.6195
O5 O 0.6233 0.1991 0.3685
O6 O 0.6915 0.1877 0.1196
O7 O 0.7409 0.6517 0.7339
O8 O 0.7668 0.6946 0.2495
F1 F 0.1369 0.3355 0.7296
F2 F 0.1478 0.3335 0.2566
F3 F 0.2683 0.8382 0.6107
F4 F 0.2741 0.8500 0.1320
F5 F 0.2810 0.8642 0.3719
F6 F 0.6708 0.1510 0.8645
F7 F 0.7259 0.6757 0.9706
F8 F 0.7389 0.6664 0.4935
```

Peak list (12 most intense, 2θ = 10–90°, low angle first)
index, 2theta, d [Å], I (rel.)
1 1 0, 23.9, 3.731, 83
1 -1 0, 24.2, 3.685, 100
1 1 1, 24.7, 3.610, 28
1 1 -1, 25.4, 3.507, 36
1 -1 2, 28.4, 3.138, 33
-1 1 2, 28.7, 3.114, 30
0 2 0, 33.4, 2.684, 25
1 0 4, 34.4, 2.605, 30
0 1 -4, 35.1, 2.558, 25
1 -1 4, 38.9, 2.315, 33
-1 1 4, 39.3, 2.294, 33
0 0 8, 62.9, 1.477, 24

=====

The following is a computed powder diffractogram of CaTl2Fe3F12. It was derived from the GGA+U geometry in Alexandria, using λ = 1.5418 Å (Cu Kα).
Intensities are scaled so that the largest is 100.

Cell and atoms:
```
data_CaTl2Fe3F12
_chemical_formula_sum 'Ca3 Tl6 Fe9 F36'
_symmetry_space_group_name_H-M 'R -3 m'
_symmetry_Int_Tables_number 166
_symmetry_space_group_name_Hall '-R 3 2"'
_cell_length_a 7.6509
_cell_length_b 7.6509
_cell_length_c 17.9666
_cell_angle_alpha 90.00
_cell_angle_beta 90.00
_cell_angle_gamma 120.00
loop_
_atom_site_label
_atom_site_type_symbol
_atom_site_fract_x
_atom_site_fract_y
_atom_site_fract_z
Ca1 Ca 0.0000 0.0000 0.0000
Tl1 Tl 0.0000 0.0000 0.3612
Fe1 Fe 0.0000 0.5000 0.5000
F1 F 0.0222 0.5111 0.6096
F2 F 0.0840 0.5420 0.8387
```

Peak list (12 most intense, 2θ = 10–90°, low angle first)
index, 2theta, d [Å], I (rel.)
1 1 0, 23.3, 3.825, 40
1 0 4, 23.9, 3.718, 47
0 2 1, 27.4, 3.258, 49
1 1 3, 27.7, 3.224, 100
0 0 6, 29.8, 2.994, 16
0 2 4, 33.6, 2.666, 16
2 1 4, 41.3, 2.187, 14
3 0 3, 43.7, 2.072, 34
0 2 7, 44.7, 2.029, 16
2 2 0, 47.5, 1.913, 33
2 0 8, 49.0, 1.859, 17
1 4 3, 66.5, 1.406, 16

=====

The following is a computed powder diffractogram of CaTlFe2F8. It was derived from the GGA+U geometry in Alexandria, using λ = 1.5418 Å (Cu Kα).
Intensities are scaled so that the largest is 100.

Cell and atoms:
```
data_CaTlFe2F8
_chemical_formula_sum 'Ca1 Tl1 Fe2 F8'
_symmetry_space_group_name_H-M 'P -3'
_symmetry_Int_Tables_number 147
_symmetry_space_group_name_Hall '-P 3'
_cell_length_a 5.8628
_cell_length_b 5.8628
_cell_length_c 7.9687
_cell_angle_alpha 90.00
_cell_angle_beta 90.00
_cell_angle_gamma 120.00
loop_
_atom_site_label
_atom_site_type_symbol
_atom_site_fract_x
_atom_site_fract_y
_atom_site_fract_z
Ca1 Ca 0.0000 0.0000 0.0000
Tl1 Tl 0.0000 0.0000 0.5000
Fe1 Fe 0.3333 0.6667 0.2728
F1 F 0.0934 0.3267 0.1848
F2 F 0.3333 0.6667 0.5071
```

Peak list (12 most intense, 2θ = 10–90°, low angle first)
index, 2theta, d [Å], I (rel.)
0 0 1, 11.1, 7.969, 53
1 0 0, 17.5, 5.077, 74
1 0 1, 20.7, 4.282, 92
1 0 2, 28.5, 3.134, 100
1 1 0, 30.5, 2.931, 75
1 1 1, 32.5, 2.751, 58
2 -1 2, 38.1, 2.361, 27
0 1 3, 38.2, 2.354, 28
0 2 2, 42.2, 2.141, 50
2 1 1, 48.8, 1.866, 20
3 -2 2, 53.0, 1.729, 39
1 1 4, 55.8, 1.648, 31